# Mg2VBiO6
Calculated PXRD pattern, Cu Ka. Input: a structure optimized by DFT (PBE+U).
Neutral-atom scattering factors, no anomalous dispersion.

Cell: 8.0206 12.5570 5.5206 Å, 90.00 90.00 90.00°
Space group Cmcm (No. 63)
One atom of each set of equivalent atoms:
Mg 0.1921 0.0894 0.2500 [8 per cell]
V 0.0000 0.1983 0.7500 [4 per cell]
Bi 0.0000 0.4097 0.2500 [4 per cell]
O 0.0000 0.1166 0.0101 [8 per cell]
O 0.1706 0.5000 0.0000 [8 per cell]
O 0.1749 0.2766 0.7500 [8 per cell]

Peak list (10 most intense, 10 to 90 degrees two-theta, sorted by position)
2θ = 13.10°, intensity 755, (1 1 0); 2θ = 21.43°, intensity 351, (0 2 1); 2θ = 22.17°, intensity 306, (2 0 0); 2θ = 28.99°, intensity 1000, (1 3 1); 2θ = 31.03°, intensity 779, (2 2 1); 2θ = 32.44°, intensity 198, (0 0 2); 2θ = 35.12°, intensity 202, (1 1 2); 2θ = 47.92°, intensity 213, (3 1 2); 2θ = 50.43°, intensity 205, (1 5 2); 2θ = 55.05°, intensity 173, (0 6 2)